Diffraction record for Li2NiSn3P6O24. The X-ray powder pattern is computed, not measured: it uses the GGA+U geometry in Alexandria and a wavelength of 1.5418 Å.

Largest 6 diffraction maxima, low angle first, 5° ≤ 2θ ≤ 70°:
20.1°, intensity 100, hkl 1 0 4; 20.3°, intensity 83, hkl 1 1 0; 23.8°, intensity 71, hkl 1 1 3; 28.7°, intensity 55, hkl 0 2 4; 32.1°, intensity 53, hkl 2 -1 6; 55.5°, intensity 41, hkl 1 4 0

Atomic structure:
```
data_Li2NiSn3P6O24
_cell_length_a 8.7504
_cell_length_b 8.7504
_cell_length_c 21.7266
_cell_angle_alpha 90.00
_cell_angle_beta 90.00
_cell_angle_gamma 120.00
_symmetry_space_group_name_H-M 'R 3'
_symmetry_Int_Tables_number 146
_symmetry_space_group_name_Hall 'R 3'
loop_
_atom_site_label
_atom_site_type_symbol
_atom_site_fract_x
_atom_site_fract_y
_atom_site_fract_z
_atom_site_occupancy
Li1 Li 0.0000 0.0000 0.0000 1
Li2 Li 0.0000 0.0000 0.4840 1
Ni1 Ni 0.0000 0.0000 0.1296 1
Sn1 Sn 0.0000 0.0000 0.3398 1
Sn2 Sn 0.0000 0.0000 0.6283 1
Sn3 Sn 0.0000 0.0000 0.8422 1
P1 P 0.0001 0.2927 0.2340 1
P2 P 0.0025 0.7049 0.7350 1
O1 O 0.9996 0.2024 0.2950 1
O2 O 0.0036 0.1985 0.1761 1
O3 O 0.0056 0.8034 0.6758 1
O4 O 0.0171 0.8328 0.4048 1
O5 O 0.0196 0.1866 0.9050 1
O6 O 0.1380 0.6728 0.4601 1
O7 O 0.1647 0.6807 0.7322 1
O8 O 0.1657 0.4825 0.2307 1
```